No. 1
This entry pairs a crystal structure of Rb4Hg2Au with its calculated powder diffraction line list. Radiation: CuKα. Structure: a GGA-PBE-relaxed structure.

Most intense lines, 2θ from 10° to 90°, sorted by position:
2theta	d [Å]	I/Imax
15.05	5.887	49
18.20	4.875	46
21.75	4.085	43
27.36	3.260	96
30.02	2.977	100
33.11	2.706	48
33.23	2.696	45
33.57	2.669	40

Crystal structure
```
data_Rb4Hg2Au
_chemical_formula_sum 'Rb8 Hg4 Au2'
_cell_length_a 19.168
_cell_length_b 5.392
_cell_length_c 6.570
_cell_angle_alpha 90.00
_cell_angle_beta 101.53
_cell_angle_gamma 90.00
_space_group_name_H-M_alt 'C 1 2/m 1'
_space_group_IT_number 12
_space_group_name_Hall '-C 2y'
loop_
_atom_site_label
_atom_site_fract_x
_atom_site_fract_y
_atom_site_fract_z
_atom_site_occupancy
Rb1 0.100 0.000 0.065 1
Rb2 0.132 0.500 0.571 1
Hg1 0.236 0.500 0.117 1
Au1 0.000 0.000 0.500 1
```

=====

No. 2
This entry pairs a crystal structure of Rb5Hg2Au5 with its calculated powder diffraction line list. Radiation: CuKα. Structure: a GGA-PBE-relaxed structure.

Most intense lines, 2θ from 10° to 90°, sorted by position:
2theta	d [Å]	I/Imax
18.95	4.684	63
20.00	4.439	39
26.84	3.322	100
28.51	3.130	54
35.19	2.550	80
38.08	2.363	41
38.44	2.342	33
41.44	2.179	32

Crystal structure
```
data_Rb5Hg2Au5
_chemical_formula_sum 'Rb10 Hg4 Au10'
_cell_length_a 17.503
_cell_length_b 4.726
_cell_length_c 13.174
_cell_angle_alpha 90.00
_cell_angle_beta 126.81
_cell_angle_gamma 90.00
_space_group_name_H-M_alt 'C 1 2/m 1'
_space_group_IT_number 12
_space_group_name_Hall '-C 2y'
loop_
_atom_site_label
_atom_site_fract_x
_atom_site_fract_y
_atom_site_fract_z
_atom_site_occupancy
Rb1 0.000 0.000 0.000 1
Rb2 0.132 0.500 0.823 1
Rb3 0.191 0.500 0.596 1
Hg1 0.107 0.500 0.271 1
Au1 0.000 0.000 0.500 1
Au2 0.059 0.000 0.347 1
Au3 0.193 0.500 0.136 1
```

=====

No. 3
This entry pairs a crystal structure of RbTl2Hg7Au2 with its calculated powder diffraction line list. Radiation: CuKα. Structure: a GGA-PBE-relaxed structure.

Most intense lines, 2θ from 10° to 90°, sorted by position:
2theta	d [Å]	I/Imax
13.90	6.372	17
16.51	5.371	17
29.42	3.036	35
29.65	3.013	57
34.12	2.628	100
35.21	2.549	19
44.13	2.052	37
58.48	1.578	19

Crystal structure
```
data_RbTl2Hg7Au2
_chemical_formula_sum 'Rb2 Tl4 Hg14 Au4'
_cell_length_a 8.542
_cell_length_b 6.907
_cell_length_c 12.744
_cell_angle_alpha 90.00
_cell_angle_beta 90.10
_cell_angle_gamma 90.00
_space_group_name_H-M_alt 'C 1 2/m 1'
_space_group_IT_number 12
_space_group_name_Hall '-C 2y'
loop_
_atom_site_label
_atom_site_fract_x
_atom_site_fract_y
_atom_site_fract_z
_atom_site_occupancy
Rb1 0.000 0.000 0.000 1
Tl1 0.121 0.000 0.397 1
Hg1 0.000 0.500 0.000 1
Hg2 0.122 0.267 0.754 1
Hg3 0.133 0.500 0.424 1
Au1 0.144 0.500 0.192 1
```

=====

No. 4
This entry pairs a crystal structure of Hg2AuS with its calculated powder diffraction line list. Radiation: CuKα. Structure: a GGA-PBE-relaxed structure.

Most intense lines, 2θ from 10° to 90°, sorted by position:
2theta	d [Å]	I/Imax
16.59	5.344	13
28.27	3.157	100
30.24	2.956	17
35.79	2.509	50
46.22	1.964	51
51.52	1.774	17
51.87	1.763	35
76.13	1.250	22

Crystal structure
```
data_Hg2AuS
_chemical_formula_sum 'Hg8 Au4 S4'
_cell_length_a 7.096
_cell_length_b 7.096
_cell_length_c 8.124
_cell_angle_alpha 90.00
_cell_angle_beta 90.00
_cell_angle_gamma 90.00
_space_group_name_H-M_alt 'I -4 2 d'
_space_group_IT_number 122
_space_group_name_Hall 'I -4 2bw'
loop_
_atom_site_label
_atom_site_fract_x
_atom_site_fract_y
_atom_site_fract_z
_atom_site_occupancy
Hg1 0.232 0.250 0.125 1
Au1 0.000 0.000 0.500 1
S1 0.000 0.000 0.000 1
```